(1)
# Ce2TmCd8
Calculated powder diffractogram, CuKα. Input: a structure optimized by DFT (PBE).
No peak broadening, texture or thermal motion is included.

The 8 most intense peaks (2θ from 10° to 80°), sorted by position:
32.54°, rel. 33; 32.65°, rel. 58; 32.82°, rel. 100; 33.65°, rel. 39; 35.54°, rel. 83; 36.35°, rel. 34; 59.64°, rel. 23; 65.24°, rel. 22

Cell and atoms:
```
Ce2TmCd8
1.0
4.212 -7.945 0.000
4.212 7.945 0.000
-3.352 0.000 4.140
Ce Tm Cd
2 1 8
Direct
0.190 0.810 0.000
0.810 0.190 0.000
0.500 0.500 0.500
0.031 0.031 0.279
0.149 0.400 0.783
0.303 0.697 0.500
0.400 0.149 0.783
0.600 0.851 0.217
0.697 0.303 0.500
0.851 0.600 0.217
0.969 0.969 0.721
```

***

(2)
# CeTm2Cd4
Calculated powder diffractogram, CuKα. Input: a structure optimized by DFT (PBE).
No peak broadening, texture or thermal motion is included.

The 8 most intense peaks (2θ from 10° to 80°), sorted by position:
20.98°, rel. 16; 27.05°, rel. 10; 34.15°, rel. 55; 34.81°, rel. 100; 49.07°, rel. 20; 61.57°, rel. 37; 62.83°, rel. 15; 73.49°, rel. 10

Cell and atoms:
```
CeTm2Cd4
1.0
5.251 0.000 0.000
0.000 5.251 0.000
0.000 0.000 7.161
Ce Tm Cd
1 2 4
Direct
0.000 0.000 0.000
0.000 0.000 0.500
0.500 0.500 0.000
0.000 0.500 0.274
0.000 0.500 0.726
0.500 0.000 0.274
0.500 0.000 0.726
```

***

(3)
# CeVCd
Calculated powder diffractogram, CuKα. Input: a structure optimized by DFT (PBE).
No peak broadening, texture or thermal motion is included.

The 8 most intense peaks (2θ from 10° to 80°), sorted by position:
22.29°, rel. 39; 26.74°, rel. 31; 29.11°, rel. 82; 37.82°, rel. 43; 38.54°, rel. 100; 44.56°, rel. 25; 49.01°, rel. 19; 69.72°, rel. 20

Cell and atoms:
```
CeVCd
1.0
2.336 1.349 7.841
-2.336 1.349 7.841
0.000 -2.697 7.841
Ce V Cd
2 2 2
Direct
0.089 0.089 0.089
0.911 0.911 0.911
0.182 0.182 0.182
0.818 0.818 0.818
0.316 0.316 0.316
0.684 0.684 0.684
```

***

(4)
# CeZn6Cd6
Calculated powder diffractogram, CuKα. Input: a structure optimized by DFT (PBE).
No peak broadening, texture or thermal motion is included.

The 8 most intense peaks (2θ from 10° to 80°), sorted by position:
32.20°, rel. 49; 32.37°, rel. 38; 32.76°, rel. 79; 37.42°, rel. 61; 37.60°, rel. 85; 37.72°, rel. 79; 37.91°, rel. 94; 42.22°, rel. 100

Cell and atoms:
```
CeZn6Cd6
1.0
-2.780 4.710 4.782
2.780 -4.710 4.782
2.780 4.710 -4.782
Ce Zn Cd
1 6 6
Direct
0.000 0.000 0.000
0.000 0.000 0.500
0.000 0.500 0.000
0.224 0.724 0.500
0.500 0.000 0.000
0.500 0.500 0.500
0.776 0.276 0.500
0.201 0.500 0.701
0.346 0.346 0.000
0.348 0.000 0.348
0.652 0.000 0.652
0.654 0.654 0.000
0.799 0.500 0.299
```

***

(5)
# CeZn3Cd9
Calculated powder diffractogram, CuKα. Input: a structure optimized by DFT (PBE).
No peak broadening, texture or thermal motion is included.

The 8 most intense peaks (2θ from 10° to 80°), sorted by position:
31.10°, rel. 37; 31.71°, rel. 38; 36.12°, rel. 41; 36.53°, rel. 40; 36.68°, rel. 74; 36.85°, rel. 100; 41.11°, rel. 39; 41.37°, rel. 50

Cell and atoms:
```
CeZn3Cd9
1.0
2.876 -6.902 0.000
2.876 6.902 0.000
-2.795 0.000 6.900
Ce Zn Cd
1 3 9
Direct
0.000 0.000 0.000
0.000 0.500 0.000
0.500 0.000 0.000
0.500 0.500 0.500
0.000 0.000 0.500
0.001 0.649 0.657
0.291 0.511 0.787
0.351 0.999 0.343
0.489 0.709 0.213
0.511 0.291 0.787
0.649 0.001 0.657
0.709 0.489 0.213
0.999 0.351 0.343
```

***

(6)
# Ce2Zn10Cd
Calculated powder diffractogram, CuKα. Input: a structure optimized by DFT (PBE).
No peak broadening, texture or thermal motion is included.

The 8 most intense peaks (2θ from 10° to 80°), sorted by position:
28.41°, rel. 58; 32.35°, rel. 35; 32.52°, rel. 36; 34.63°, rel. 60; 37.35°, rel. 100; 41.41°, rel. 80; 44.67°, rel. 42; 45.91°, rel. 46

Cell and atoms:
```
Ce2Zn10Cd
1.0
7.632 0.000 0.000
0.000 12.697 0.000
0.000 0.000 5.535
Ce Zn Cd
4 20 2
Direct
0.238 0.094 0.000
0.262 0.594 0.000
0.738 0.406 0.000
0.762 0.906 0.000
0.018 0.669 0.500
0.161 0.489 0.500
0.164 0.184 0.500
0.171 0.836 0.229
0.171 0.836 0.771
0.329 0.336 0.229
0.329 0.336 0.771
0.336 0.684 0.500
0.339 0.989 0.500
0.482 0.169 0.500
0.518 0.831 0.500
0.661 0.011 0.500
0.664 0.316 0.500
0.671 0.664 0.229
0.671 0.664 0.771
0.829 0.164 0.229
0.829 0.164 0.771
0.836 0.816 0.500
0.839 0.511 0.500
0.982 0.331 0.500
0.000 0.000 0.500
0.500 0.500 0.500
```

***

(7)
# CeZn9Cd2
Calculated powder diffractogram, CuKα. Input: a structure optimized by DFT (PBE).
No peak broadening, texture or thermal motion is included.

The 8 most intense peaks (2θ from 10° to 80°), sorted by position:
19.43°, rel. 15; 35.78°, rel. 50; 37.60°, rel. 47; 39.45°, rel. 100; 45.78°, rel. 26; 62.00°, rel. 19; 71.56°, rel. 15; 75.80°, rel. 27

Cell and atoms:
```
CeZn9Cd2
1.0
9.136 0.000 0.000
-4.568 7.912 0.000
0.000 0.000 3.004
Ce Zn Cd
1 9 2
Direct
0.000 0.000 0.000
0.000 0.500 0.000
0.175 0.351 0.500
0.175 0.825 0.500
0.351 0.175 0.500
0.500 0.000 0.000
0.500 0.500 0.000
0.649 0.825 0.500
0.825 0.175 0.500
0.825 0.649 0.500
0.333 0.667 0.000
0.667 0.333 0.000
```

***

(8)
# Ce2Zn9Cd
Calculated powder diffractogram, CuKα. Input: a structure optimized by DFT (PBE).
No peak broadening, texture or thermal motion is included.

The 8 most intense peaks (2θ from 10° to 80°), sorted by position:
30.48°, rel. 28; 32.96°, rel. 37; 33.28°, rel. 19; 38.40°, rel. 30; 39.01°, rel. 100; 41.27°, rel. 19; 62.92°, rel. 23; 69.12°, rel. 20

Cell and atoms:
```
Ce2Zn9Cd
1.0
2.718 1.569 8.750
-2.718 1.569 8.750
0.000 -3.138 8.750
Ce Zn Cd
2 9 1
Direct
0.147 0.147 0.147
0.853 0.853 0.853
0.079 0.583 0.583
0.335 0.335 0.335
0.417 0.417 0.921
0.417 0.921 0.417
0.500 0.500 0.500
0.583 0.079 0.583
0.583 0.583 0.079
0.665 0.665 0.665
0.921 0.417 0.417
0.000 0.000 0.000
```